No. 1
Structure and calculated X-ray diffraction stick pattern of Cs2HfAg2S4 (a crystal structure in OQMD, relaxed with PBE; copper Kα).
Neutral-atom scattering factors, no anomalous dispersion.

Cell and atoms:
```
data_Cs2HfAg2S4
_symmetry_space_group_name_H-M 'C 2 2 2'
_symmetry_Int_Tables_number 21
_cell_length_a 6.2007
_cell_length_b 14.1413
_cell_length_c 6.1787
_cell_angle_alpha 90.00
_cell_angle_beta 90.00
_cell_angle_gamma 90.00
loop_
_symmetry_equiv_pos_as_xyz
'x,y,z'
'-x,-y,z'
'x,-y,-z'
'-x,y,-z'
'x+1/2,y+1/2,z'
'-x+1/2,-y+1/2,z'
'x+1/2,-y+1/2,-z'
'-x+1/2,y+1/2,-z'
loop_
_atom_site_label
_atom_site_type_symbol
_atom_site_fract_x
_atom_site_fract_y
_atom_site_fract_z
_atom_site_occupancy
Cs1 Cs 0.2500 0.2500 0.2354 1
Hf1 Hf 0.0000 0.0000 0.5000 1
Ag1 Ag 0.0000 0.0000 0.0000 1
Ag2 Ag 0.0000 0.5000 0.5000 1
S1 S 0.2229 0.1005 0.7224 1
```

Principal peaks in the range 2θ from 10° to 90°, by intensity:
(2 2 0), d 2.835, 2θ 31.56, I = 100.0; (1 3 1), d 3.207, 2θ 27.82, I = 54.6; (2 6 0), d 1.875, 2θ 48.55, I = 43.3; (2 0 2), d 2.188, 2θ 41.25, I = 36.7; (0 4 0), d 3.535, 2θ 25.19, I = 34.7; (1 1 0), d 5.679, 2θ 15.60, I = 26.9; (2 4 2), d 1.861, 2θ 48.95, I = 23.9; (1 1 1), d 4.181, 2θ 21.25, I = 23.7; (0 2 0), d 7.071, 2θ 12.52, I = 19.6; (0 2 1), d 4.653, 2θ 19.08, I = 19.1



No. 2
Structure and calculated X-ray diffraction stick pattern of BaLaCuTeSeS (a crystal structure in OQMD, relaxed with PBE; copper Kα).
Neutral-atom scattering factors, no anomalous dispersion.

Cell and atoms:
```
data_BaLaCuTeSeS
_symmetry_space_group_name_H-M 'P n m a'
_symmetry_Int_Tables_number 62
_cell_length_a 11.7501
_cell_length_b 4.4529
_cell_length_c 12.6454
_cell_angle_alpha 90.00
_cell_angle_beta 90.00
_cell_angle_gamma 90.00
loop_
_symmetry_equiv_pos_as_xyz
'x,y,z'
'-x,-y,-z'
'-x+1/2,-y,z+1/2'
'x+1/2,y,-z+1/2'
'x+1/2,-y+1/2,-z+1/2'
'-x+1/2,y+1/2,z+1/2'
'-x,y+1/2,-z'
'x,-y+1/2,z'
loop_
_atom_site_label
_atom_site_type_symbol
_atom_site_fract_x
_atom_site_fract_y
_atom_site_fract_z
_atom_site_occupancy
Ba1 Ba 0.2080 0.2500 0.0151 1
La1 La 0.0129 0.2500 0.6875 1
Cu1 Cu 0.2438 0.2500 0.2871 1
Te1 Te 0.0496 0.7500 0.8655 1
Se1 Se 0.1005 0.2500 0.4346 1
S1 S 0.2295 0.7500 0.2048 1
```

Principal peaks in the range 2θ from 10° to 90°, by intensity:
(3 1 1), d 2.864, 2θ 31.23, I = 100.0; (1 1 3), d 2.962, 2θ 30.17, I = 90.7; (1 1 2), d 3.478, 2θ 25.62, I = 82.9; (0 2 0), d 2.226, 2θ 40.52, I = 70.0; (3 1 2), d 2.666, 2θ 33.62, I = 64.4; (2 0 4), d 2.784, 2θ 32.15, I = 54.7; (1 1 4), d 2.518, 2θ 35.66, I = 53.6; (0 1 3), d 3.061, 2θ 29.17, I = 44.1; (4 2 0), d 1.775, 2θ 51.49, I = 34.2; (4 0 0), d 2.938, 2θ 30.43, I = 33.3



No. 3
Structure and calculated X-ray diffraction stick pattern of Li4Al2InPd (a crystal structure in OQMD, relaxed with PBE; copper Kα).
Neutral-atom scattering factors, no anomalous dispersion.

Cell and atoms:
```
data_Li4Al2InPd
_symmetry_space_group_name_H-M 'P -4 m 2'
_symmetry_Int_Tables_number 115
_cell_length_a 4.4160
_cell_length_b 4.4160
_cell_length_c 6.3708
_cell_angle_alpha 90.00
_cell_angle_beta 90.00
_cell_angle_gamma 90.00
loop_
_symmetry_equiv_pos_as_xyz
'x,y,z'
'y,-x,-z'
'-x,-y,z'
'-y,x,-z'
'-x,y,z'
'-y,-x,-z'
'x,-y,z'
'y,x,-z'
loop_
_atom_site_label
_atom_site_type_symbol
_atom_site_fract_x
_atom_site_fract_y
_atom_site_fract_z
_atom_site_occupancy
Li1 Li 0.0000 0.0000 0.0000 1
Li2 Li 0.0000 0.5000 0.7338 1
Li3 Li 0.5000 0.5000 0.5000 1
Al1 Al 0.0000 0.5000 0.2821 1
In1 In 0.5000 0.5000 0.0000 1
Pd1 Pd 0.0000 0.0000 0.5000 1
```

Principal peaks in the range 2θ from 10° to 90°, by intensity:
(1 0 1), d 3.629, 2θ 24.53, I = 100.0; (1 1 2), d 2.230, 2θ 40.45, I = 47.6; (2 1 1), d 1.886, 2θ 48.24, I = 31.2; (2 0 0), d 2.208, 2θ 40.87, I = 23.8; (1 1 0), d 3.123, 2θ 28.59, I = 20.5; (1 0 3), d 1.914, 2θ 47.51, I = 16.1; (3 1 2), d 1.279, 2θ 74.14, I = 15.3; (2 1 3), d 1.446, 2θ 64.43, I = 12.6; (0 0 2), d 3.185, 2θ 28.01, I = 11.4; (2 0 2), d 1.815, 2θ 50.28, I = 8.9



No. 4
Structure and calculated X-ray diffraction stick pattern of NdDySi4Os2 (a crystal structure in OQMD, relaxed with PBE; copper Kα).
Neutral-atom scattering factors, no anomalous dispersion.

Cell and atoms:
```
data_NdDySi4Os2
_symmetry_space_group_name_H-M 'P 1 m 1'
_symmetry_Int_Tables_number 6
_cell_length_a 4.4575
_cell_length_b 4.1177
_cell_length_c 8.1912
_cell_angle_alpha 90.00
_cell_angle_beta 101.98
_cell_angle_gamma 90.00
loop_
_symmetry_equiv_pos_as_xyz
'x,y,z'
'x,-y,z'
loop_
_atom_site_label
_atom_site_type_symbol
_atom_site_fract_x
_atom_site_fract_y
_atom_site_fract_z
_atom_site_occupancy
Nd1 Nd 0.0000 0.0000 0.0000 1
Dy1 Dy 0.1800 0.5000 0.4044 1
Si1 Si 0.2508 0.0000 0.6917 1
Si2 Si 0.5485 0.5000 0.1091 1
Si3 Si 0.6246 0.0000 0.2903 1
Si4 Si 0.9208 0.5000 0.7021 1
Os1 Os 0.4688 0.5000 0.8123 1
Os2 Os 0.7023 0.0000 0.5830 1
```

Principal peaks in the range 2θ from 10° to 90°, by intensity:
(1 1 -1), d 2.945, 2θ 30.35, I = 100.0; (1 0 2), d 2.684, 2θ 33.39, I = 82.7; (0 1 2), d 2.871, 2θ 31.15, I = 79.0; (0 0 1), d 8.013, 2θ 11.04, I = 72.1; (1 0 -3), d 2.523, 2θ 35.59, I = 55.2; (1 1 0), d 2.994, 2θ 29.84, I = 51.7; (0 1 3), d 2.241, 2θ 40.25, I = 51.5; (0 2 0), d 2.059, 2θ 43.98, I = 39.8; (2 0 -1), d 2.224, 2θ 40.57, I = 29.0; (1 2 -3), d 1.595, 2θ 57.80, I = 27.5



No. 5
Structure and calculated X-ray diffraction stick pattern of KTh2F9 (a crystal structure in OQMD, relaxed with PBE; copper Kα).
Neutral-atom scattering factors, no anomalous dispersion.

Cell and atoms:
```
data_KTh2F9
_symmetry_space_group_name_H-M 'P n m a'
_symmetry_Int_Tables_number 62
_cell_length_a 8.7500
_cell_length_b 11.3849
_cell_length_c 7.0753
_cell_angle_alpha 90.00
_cell_angle_beta 90.00
_cell_angle_gamma 90.00
loop_
_symmetry_equiv_pos_as_xyz
'x,y,z'
'-x,-y,-z'
'-x+1/2,-y,z+1/2'
'x+1/2,y,-z+1/2'
'x+1/2,-y+1/2,-z+1/2'
'-x+1/2,y+1/2,z+1/2'
'-x,y+1/2,-z'
'x,-y+1/2,z'
loop_
_atom_site_label
_atom_site_type_symbol
_atom_site_fract_x
_atom_site_fract_y
_atom_site_fract_z
_atom_site_occupancy
K1 K 0.0317 0.2500 0.1392 1
Th1 Th 0.1747 0.0490 0.6550 1
F1 F 0.0034 0.6039 0.5768 1
F2 F 0.0637 0.5827 0.1944 1
F3 F 0.1746 0.2500 0.6703 1
F4 F 0.2088 0.1009 0.9754 1
F5 F 0.2147 0.6120 0.8589 1
```

Principal peaks in the range 2θ from 10° to 90°, by intensity:
(0 2 0), d 5.692, 2θ 15.57, I = 100.0; (2 2 1), d 3.118, 2θ 28.63, I = 62.2; (1 0 2), d 3.280, 2θ 27.19, I = 54.6; (2 0 1), d 3.721, 2θ 23.91, I = 51.2; (1 2 2), d 2.842, 2θ 31.48, I = 46.6; (0 3 1), d 3.344, 2θ 26.66, I = 43.9; (3 3 2), d 1.936, 2θ 46.94, I = 31.5; (1 3 3), d 1.952, 2θ 46.51, I = 30.3; (2 2 0), d 3.469, 2θ 25.68, I = 27.0; (4 0 1), d 2.090, 2θ 43.29, I = 26.7



No. 6
Structure and calculated X-ray diffraction stick pattern of K2Cu2SnSe4 (a crystal structure in OQMD, relaxed with PBE; copper Kα).
Neutral-atom scattering factors, no anomalous dispersion.

Cell and atoms:
```
data_K2Cu2SnSe4
_symmetry_space_group_name_H-M 'P 1 2/c 1'
_symmetry_Int_Tables_number 13
_cell_length_a 7.6392
_cell_length_b 5.5579
_cell_length_c 12.2833
_cell_angle_alpha 90.00
_cell_angle_beta 113.40
_cell_angle_gamma 90.00
loop_
_symmetry_equiv_pos_as_xyz
'x,y,z'
'-x,-y,-z'
'-x,y,-z+1/2'
'x,-y,z+1/2'
loop_
_atom_site_label
_atom_site_type_symbol
_atom_site_fract_x
_atom_site_fract_y
_atom_site_fract_z
_atom_site_occupancy
K1 K 0.0000 0.0000 0.0000 1
K2 K 0.0000 0.4846 0.2500 1
Cu1 Cu 0.5003 0.2489 0.0156 1
Sn1 Sn 0.5000 0.2511 0.7500 1
Se1 Se 0.2833 0.0144 0.8282 1
Se2 Se 0.2838 0.4882 0.5648 1
```

Principal peaks in the range 2θ from 10° to 90°, by intensity:
(1 0 0), d 7.011, 2θ 12.63, I = 100.0; (1 1 2), d 3.097, 2θ 28.83, I = 67.4; (2 1 -2), d 3.086, 2θ 28.94, I = 67.3; (1 2 -4), d 2.060, 2θ 43.94, I = 64.2; (2 2 0), d 2.178, 2θ 41.46, I = 41.6; (1 0 4), d 2.316, 2θ 38.89, I = 29.1; (3 2 0), d 1.789, 2θ 51.06, I = 27.5; (1 1 -2), d 3.954, 2θ 22.49, I = 25.4; (1 2 0), d 2.583, 2θ 34.72, I = 23.4; (0 1 1), d 4.985, 2θ 17.79, I = 23.3



No. 7
Structure and calculated X-ray diffraction stick pattern of Nb4TlPN2 (a crystal structure in OQMD, relaxed with PBE; copper Kα).
Neutral-atom scattering factors, no anomalous dispersion.

Cell and atoms:
```
data_Nb4TlPN2
_symmetry_space_group_name_H-M 'P -6 m 2'
_symmetry_Int_Tables_number 187
_symmetry_space_group_name_Hall 'P -6 2'
_cell_length_a 3.2886
_cell_length_b 3.2886
_cell_length_c 12.7681
_cell_angle_alpha 90.00
_cell_angle_beta 90.00
_cell_angle_gamma 120.00
loop_
_atom_site_label
_atom_site_type_symbol
_atom_site_fract_x
_atom_site_fract_y
_atom_site_fract_z
_atom_site_occupancy
Nb1 Nb 0.0000 0.0000 0.1351 1
Nb2 Nb 0.6667 0.3333 0.3099 1
Tl1 Tl 0.0000 0.0000 0.5000 1
P1 P 0.6667 0.3333 0.0000 1
N1 N 0.3333 0.6667 0.2313 1
```

Principal peaks in the range 2θ from 10° to 90°, by intensity:
(1 0 3), d 2.367, 2θ 38.02, I = 100.0; (1 0 2), d 2.601, 2θ 34.48, I = 34.8; (1 0 0), d 2.848, 2θ 31.41, I = 34.4; (1 1 0), d 1.644, 2θ 55.92, I = 26.8; (1 0 8), d 1.392, 2θ 67.24, I = 16.6; (2 0 3), d 1.350, 2θ 69.62, I = 16.6; (0 0 5), d 2.554, 2θ 35.14, I = 15.3; (1 0 5), d 1.901, 2θ 47.84, I = 14.6; (1 1 5), d 1.382, 2θ 67.78, I = 13.7; (1 1 6), d 1.301, 2θ 72.67, I = 10.2



No. 8
Structure and calculated X-ray diffraction stick pattern of Na4ZnCuPd2 (a crystal structure in OQMD, relaxed with PBE; copper Kα).
Neutral-atom scattering factors, no anomalous dispersion.

Cell and atoms:
```
data_Na4ZnCuPd2
_symmetry_space_group_name_H-M 'P -4 m 2'
_symmetry_Int_Tables_number 115
_cell_length_a 4.6757
_cell_length_b 4.6757
_cell_length_c 6.6205
_cell_angle_alpha 90.00
_cell_angle_beta 90.00
_cell_angle_gamma 90.00
loop_
_symmetry_equiv_pos_as_xyz
'x,y,z'
'y,-x,-z'
'-x,-y,z'
'-y,x,-z'
'-x,y,z'
'-y,-x,-z'
'x,-y,z'
'y,x,-z'
loop_
_atom_site_label
_atom_site_type_symbol
_atom_site_fract_x
_atom_site_fract_y
_atom_site_fract_z
_atom_site_occupancy
Na1 Na 0.0000 0.0000 0.0000 1
Na2 Na 0.0000 0.5000 0.2422 1
Na3 Na 0.5000 0.5000 0.5000 1
Zn1 Zn 0.0000 0.0000 0.5000 1
Cu1 Cu 0.5000 0.5000 0.0000 1
Pd1 Pd 0.0000 0.5000 0.7466 1
```

Principal peaks in the range 2θ from 10° to 90°, by intensity:
(2 0 0), d 2.339, 2θ 38.49, I = 100.0; (1 0 1), d 3.819, 2θ 23.29, I = 44.1; (3 1 2), d 1.350, 2θ 69.63, I = 31.7; (2 1 1), d 1.995, 2θ 45.48, I = 22.0; (2 2 0), d 1.654, 2θ 55.57, I = 16.4; (4 0 0), d 1.169, 2θ 82.48, I = 9.6; (3 0 1), d 1.518, 2θ 61.06, I = 9.1; (4 1 1), d 1.118, 2θ 87.17, I = 7.0; (3 2 1), d 1.273, 2θ 74.54, I = 6.8; (1 1 0), d 3.308, 2θ 26.96, I = 3.6



No. 9
Structure and calculated X-ray diffraction stick pattern of Cu7Ag2 (a crystal structure in OQMD, relaxed with PBE; copper Kα).
Neutral-atom scattering factors, no anomalous dispersion.

Cell and atoms:
```
data_Cu7Ag2
_symmetry_space_group_name_H-M 'P -3 m 1'
_symmetry_Int_Tables_number 164
_symmetry_space_group_name_Hall '-P 3 2"'
_cell_length_a 2.6853
_cell_length_b 2.6853
_cell_length_c 19.1333
_cell_angle_alpha 90.00
_cell_angle_beta 90.00
_cell_angle_gamma 120.00
loop_
_atom_site_label
_atom_site_type_symbol
_atom_site_fract_x
_atom_site_fract_y
_atom_site_fract_z
_atom_site_occupancy
Cu1 Cu 0.0000 0.0000 0.0000 1
Cu2 Cu 0.0000 0.0000 0.3421 1
Cu3 Cu 0.3333 0.6667 0.5529 1
Cu4 Cu 0.3333 0.6667 0.8961 1
Ag1 Ag 0.3333 0.6667 0.2226 1
```

Principal peaks in the range 2θ from 10° to 90°, by intensity:
(1 0 3), d 2.185, 2θ 41.32, I = 100.0; (0 1 6), d 1.879, 2θ 48.45, I = 59.5; (0 0 9), d 2.126, 2θ 42.52, I = 28.2; (1 1 9), d 1.135, 2θ 85.55, I = 19.8; (1 1 0), d 1.343, 2θ 70.08, I = 18.8; (1 0 12), d 1.315, 2θ 71.78, I = 15.5; (0 2 3), d 1.144, 2θ 84.74, I = 11.0; (2 0 6), d 1.092, 2θ 89.77, I = 9.3; (0 1 15), d 1.118, 2θ 87.15, I = 8.2; (0 0 7), d 2.733, 2θ 32.76, I = 3.9



No. 10
Structure and calculated X-ray diffraction stick pattern of Ho2ErAl7Cu2 (a crystal structure in OQMD, relaxed with PBE; copper Kα).
Neutral-atom scattering factors, no anomalous dispersion.

Cell and atoms:
```
data_Ho2ErAl7Cu2
_symmetry_space_group_name_H-M 'R -3 m'
_symmetry_Int_Tables_number 166
_symmetry_space_group_name_Hall '-R 3 2"'
_cell_length_a 5.4675
_cell_length_b 5.4675
_cell_length_c 25.3496
_cell_angle_alpha 90.00
_cell_angle_beta 90.00
_cell_angle_gamma 120.00
loop_
_atom_site_label
_atom_site_type_symbol
_atom_site_fract_x
_atom_site_fract_y
_atom_site_fract_z
_atom_site_occupancy
Ho1 Ho 0.0000 0.0000 0.1422 1
Er1 Er 0.0000 0.0000 0.0000 1
Al1 Al 0.0000 0.0000 0.5000 1
Al2 Al 0.0063 0.5031 0.9211 1
Cu1 Cu 0.0000 0.0000 0.3353 1
```

Principal peaks in the range 2θ from 10° to 90°, by intensity:
(1 1 6), d 2.295, 2θ 39.25, I = 100.0; (1 1 0), d 2.734, 2θ 32.76, I = 88.4; (1 0 7), d 2.877, 2θ 31.09, I = 52.4; (1 0 1), d 4.654, 2θ 19.07, I = 44.9; (0 1 8), d 2.633, 2θ 34.04, I = 32.7; (0 0 6), d 4.225, 2θ 21.03, I = 32.0; (0 2 1), d 2.357, 2θ 38.18, I = 27.5; (2 0 14), d 1.438, 2θ 64.85, I = 27.0; (3 0 6), d 1.479, 2θ 62.85, I = 24.5; (2 1 7), d 1.604, 2θ 57.44, I = 19.2



No. 11
Structure and calculated X-ray diffraction stick pattern of Tb2InGaNi4 (a crystal structure in OQMD, relaxed with PBE; copper Kα).
Neutral-atom scattering factors, no anomalous dispersion.

Cell and atoms:
```
data_Tb2InGaNi4
_symmetry_space_group_name_H-M 'P m m 2'
_symmetry_Int_Tables_number 25
_cell_length_a 4.0132
_cell_length_b 5.0721
_cell_length_c 6.7839
_cell_angle_alpha 90.00
_cell_angle_beta 90.00
_cell_angle_gamma 90.00
loop_
_symmetry_equiv_pos_as_xyz
'x,y,z'
'-x,-y,z'
'-x,y,z'
'x,-y,z'
loop_
_atom_site_label
_atom_site_type_symbol
_atom_site_fract_x
_atom_site_fract_y
_atom_site_fract_z
_atom_site_occupancy
Tb1 Tb 0.0000 0.0000 0.0000 1
Tb2 Tb 0.0000 0.5000 0.4394 1
In1 In 0.5000 0.5000 0.0733 1
Ga1 Ga 0.5000 0.0000 0.3803 1
Ni1 Ni 0.0000 0.0000 0.5888 1
Ni2 Ni 0.0000 0.5000 0.8306 1
Ni3 Ni 0.5000 0.2480 0.7126 1
```

Principal peaks in the range 2θ from 10° to 90°, by intensity:
(1 1 1), d 2.855, 2θ 31.33, I = 100.0; (1 1 2), d 2.307, 2θ 39.04, I = 70.4; (2 0 0), d 2.007, 2θ 45.19, I = 37.3; (1 0 2), d 2.591, 2θ 34.63, I = 34.6; (0 2 0), d 2.536, 2θ 35.39, I = 32.6; (0 2 2), d 2.031, 2θ 44.61, I = 30.5; (0 1 3), d 2.065, 2θ 43.83, I = 24.4; (1 2 0), d 2.144, 2θ 42.15, I = 23.2; (1 2 1), d 2.044, 2θ 44.31, I = 20.6; (2 2 2), d 1.427, 2θ 65.38, I = 19.0



No. 12
Structure and calculated X-ray diffraction stick pattern of Zr4FeBiC2 (a crystal structure in OQMD, relaxed with PBE; copper Kα).
Neutral-atom scattering factors, no anomalous dispersion.

Cell and atoms:
```
data_Zr4FeBiC2
_symmetry_space_group_name_H-M 'P -6 m 2'
_symmetry_Int_Tables_number 187
_symmetry_space_group_name_Hall 'P -6 2'
_cell_length_a 3.3768
_cell_length_b 3.3768
_cell_length_c 14.0181
_cell_angle_alpha 90.00
_cell_angle_beta 90.00
_cell_angle_gamma 120.00
loop_
_atom_site_label
_atom_site_type_symbol
_atom_site_fract_x
_atom_site_fract_y
_atom_site_fract_z
_atom_site_occupancy
Zr1 Zr 0.0000 0.0000 0.1380 1
Zr2 Zr 0.3333 0.6667 0.3214 1
Fe1 Fe 0.3333 0.6667 0.0000 1
Bi1 Bi 0.0000 0.0000 0.5000 1
C1 C 0.6667 0.3333 0.2354 1
```

Principal peaks in the range 2θ from 10° to 90°, by intensity:
(1 0 3), d 2.479, 2θ 36.24, I = 100.0; (1 0 0), d 2.924, 2θ 30.57, I = 29.4; (1 1 0), d 1.688, 2θ 54.34, I = 23.5; (1 0 2), d 2.699, 2θ 33.19, I = 21.4; (2 0 3), d 1.395, 2θ 67.07, I = 16.1; (1 1 6), d 1.368, 2θ 68.57, I = 13.9; (1 0 8), d 1.503, 2θ 61.71, I = 13.2; (0 0 6), d 2.336, 2θ 38.53, I = 12.8; (1 0 5), d 2.024, 2θ 44.78, I = 12.5; (1 0 6), d 1.825, 2θ 49.96, I = 11.4